Record 1
K2NbTlF6: simulated powder XRD pattern (Cu Kα (λ = 1.5418 Å)), based on DFT lattice parameters and positions (GGA-PBE).

Structure:
```
data_K2NbTlF6
_chemical_formula_sum 'K2 Nb1 Tl1 F6'
_cell_length_a 6.7014
_cell_length_b 6.7014
_cell_length_c 6.7014
_cell_angle_alpha 60.00
_cell_angle_beta 60.00
_cell_angle_gamma 60.00
_space_group_name_H-M_alt 'P 1'
_space_group_IT_number 1
loop_
_space_group_symop_operation_xyz
'x,y,z'
loop_
_atom_site_label
_atom_site_type_symbol
_atom_site_fract_x
_atom_site_fract_y
_atom_site_fract_z
K1 K 0.2500 0.2500 0.2500
K2 K 0.7500 0.7500 0.7500
Nb1 Nb 0.0000 0.0000 0.0000
Tl1 Tl 0.5000 0.5000 0.5000
F1 F 0.2219 0.2219 0.7781
F2 F 0.2219 0.7781 0.2219
F3 F 0.2219 0.7781 0.7781
F4 F 0.7781 0.2219 0.2219
F5 F 0.7781 0.2219 0.7781
F6 F 0.7781 0.7781 0.2219
```

Principal peaks in the range 5 to 70 degrees two-theta, most intense first:
d/Å, I/Imax
3.351, 100
4.739, 64
1.935, 40
2.369, 39
2.119, 30
1.675, 24
1.498, 20
1.580, 15
2.857, 13
5.472, 11

---

Record 2
Mg3H4O5: simulated powder XRD pattern (Cu Kα (λ = 1.5418 Å)), based on DFT lattice parameters and positions (GGA-PBE).

Structure:
```
data_Mg3H4O5
_chemical_formula_sum 'Mg3 H4 O5'
_cell_length_a 3.1300
_cell_length_b 3.1300
_cell_length_c 12.4196
_cell_angle_alpha 90.00
_cell_angle_beta 90.00
_cell_angle_gamma 120.00
_space_group_name_H-M_alt 'P 1'
_space_group_IT_number 1
loop_
_space_group_symop_operation_xyz
'x,y,z'
loop_
_atom_site_label
_atom_site_type_symbol
_atom_site_fract_x
_atom_site_fract_y
_atom_site_fract_z
Mg1 Mg 0.0000 0.0000 0.0000
Mg2 Mg 0.3333 0.6667 0.5986
Mg3 Mg 0.6667 0.3333 0.4014
H1 H 0.3333 0.6667 0.2389
H2 H 0.3333 0.6667 0.8371
H3 H 0.6667 0.3333 0.1629
H4 H 0.6667 0.3333 0.7611
O1 O 0.0000 0.0000 0.5000
O2 O 0.3333 0.6667 0.3171
O3 O 0.3333 0.6667 0.9151
O4 O 0.6667 0.3333 0.0849
O5 O 0.6667 0.3333 0.6829
```

Principal peaks in the range 5 to 70 degrees two-theta, most intense first:
d/Å, I/Imax
2.268, 100
6.210, 81
2.042, 65
1.565, 49
12.420, 39
4.140, 34
2.484, 30
1.645, 28
1.485, 21
2.648, 15

---

Record 3
Zn2SbN3: simulated powder XRD pattern (Cu Kα (λ = 1.5418 Å)), based on DFT lattice parameters and positions (GGA-PBE).

Structure:
```
data_Zn2SbN3
_chemical_formula_sum 'Zn4 Sb2 N6'
_cell_length_a 5.8323
_cell_length_b 5.8323
_cell_length_c 5.4673
_cell_angle_alpha 90.00
_cell_angle_beta 90.00
_cell_angle_gamma 59.91
_space_group_name_H-M_alt 'P 1'
_space_group_IT_number 1
loop_
_space_group_symop_operation_xyz
'x,y,z'
loop_
_atom_site_label
_atom_site_type_symbol
_atom_site_fract_x
_atom_site_fract_y
_atom_site_fract_z
Zn1 Zn 0.0097 0.3346 0.0000
Zn2 Zn 0.3346 0.0097 0.5000
Zn3 Zn 0.6654 0.9903 0.0000
Zn4 Zn 0.9903 0.6654 0.5000
Sb1 Sb 0.3220 0.6780 0.9884
Sb2 Sb 0.6780 0.3220 0.4884
N1 N 0.0027 0.6674 0.8751
N2 N 0.3326 0.9973 0.8751
N3 N 0.3418 0.6582 0.3666
N4 N 0.6582 0.3418 0.8666
N5 N 0.6674 0.0027 0.3751
N6 N 0.9973 0.3326 0.3751
```

Principal peaks in the range 5 to 70 degrees two-theta, most intense first:
d/Å, I/Imax
2.572, 100
2.915, 40
2.734, 34
1.545, 29
1.683, 28
1.433, 25
1.994, 20
1.408, 15
3.708, 12
5.051, 5

---

Record 4
CsPbCl3: simulated powder XRD pattern (Cu Kα (λ = 1.5418 Å)), based on DFT lattice parameters and positions (GGA-PBE).

Structure:
```
data_CsPbCl3
_chemical_formula_sum 'Cs2 Pb2 Cl6'
_cell_length_a 5.7637
_cell_length_b 8.0856
_cell_length_c 8.0856
_cell_angle_alpha 89.96
_cell_angle_beta 90.00
_cell_angle_gamma 90.00
_space_group_name_H-M_alt 'P 1'
_space_group_IT_number 1
loop_
_space_group_symop_operation_xyz
'x,y,z'
loop_
_atom_site_label
_atom_site_type_symbol
_atom_site_fract_x
_atom_site_fract_y
_atom_site_fract_z
Cs1 Cs 0.0000 0.0000 0.0000
Cs2 Cs 0.0000 0.4994 0.4994
Pb1 Pb 0.5000 0.4961 0.9945
Pb2 Pb 0.5000 0.9945 0.4961
Cl1 Cl 0.0000 0.4718 0.9717
Cl2 Cl 0.0000 0.9717 0.4718
Cl3 Cl 0.5000 0.2081 0.2081
Cl4 Cl 0.5000 0.2847 0.7019
Cl5 Cl 0.5000 0.7019 0.2847
Cl6 Cl 0.5000 0.7900 0.7900
```

Principal peaks in the range 5 to 70 degrees two-theta, most intense first:
d/Å, I/Imax
4.053, 100
2.337, 36
2.859, 28
2.030, 21
2.347, 17
2.882, 16
1.809, 16
1.532, 11
1.348, 10
1.536, 10

---

Record 5
RbTi2P3O12: simulated powder XRD pattern (Cu Kα (λ = 1.5418 Å)), based on DFT lattice parameters and positions (GGA-PBE).

Structure:
```
data_RbTi2P3O12
_chemical_formula_sum 'Rb2 Ti4 P6 O24'
_cell_length_a 9.3009
_cell_length_b 9.3009
_cell_length_c 9.3009
_cell_angle_alpha 53.83
_cell_angle_beta 53.83
_cell_angle_gamma 53.83
_space_group_name_H-M_alt 'P 1'
_space_group_IT_number 1
loop_
_space_group_symop_operation_xyz
'x,y,z'
loop_
_atom_site_label
_atom_site_type_symbol
_atom_site_fract_x
_atom_site_fract_y
_atom_site_fract_z
Rb1 Rb 0.0000 0.0000 0.0000
Rb2 Rb 0.5000 0.5000 0.5000
Ti1 Ti 0.1502 0.1502 0.1502
Ti2 Ti 0.3486 0.3486 0.3486
Ti3 Ti 0.6514 0.6514 0.6514
Ti4 Ti 0.8498 0.8498 0.8498
P1 P 0.0301 0.7495 0.4696
P2 P 0.2505 0.5304 0.9699
P3 P 0.4696 0.0301 0.7495
P4 P 0.5304 0.9699 0.2505
P5 P 0.7495 0.4696 0.0301
P6 P 0.9699 0.2505 0.5304
O1 O 0.0114 0.7470 0.6474
O2 O 0.0778 0.7058 0.9163
O3 O 0.0837 0.9222 0.2942
O4 O 0.1561 0.2301 0.5136
O5 O 0.1909 0.5593 0.4421
O6 O 0.2301 0.5136 0.1561
O7 O 0.2530 0.3526 0.9886
O8 O 0.2942 0.0837 0.9222
O9 O 0.3526 0.9886 0.2530
O10 O 0.4407 0.5579 0.8091
O11 O 0.4421 0.1909 0.5593
O12 O 0.4864 0.8439 0.7699
O13 O 0.5136 0.1561 0.2301
O14 O 0.5579 0.8091 0.4407
O15 O 0.5593 0.4421 0.1909
O16 O 0.6474 0.0114 0.7470
O17 O 0.7058 0.9163 0.0778
O18 O 0.7470 0.6474 0.0114
O19 O 0.7699 0.4864 0.8439
O20 O 0.8091 0.4407 0.5579
O21 O 0.8439 0.7699 0.4864
O22 O 0.9163 0.0778 0.7058
O23 O 0.9222 0.2942 0.0837
O24 O 0.9886 0.2530 0.3526
```

Principal peaks in the range 5 to 70 degrees two-theta, most intense first:
d/Å, I/Imax
2.886, 100
3.718, 72
4.210, 67
1.859, 30
2.431, 22
2.685, 18
1.591, 17
2.072, 17
3.486, 15
1.477, 14